Theoretical PXRD pattern
Compound: Cr2Rh2C
Radiation: Cu Kα (λ = 1.5418 Å)
Structure: a DFT-relaxed cell (GGA-PBE, the Materials Project)

```
data_Cr2Rh2C
_symmetry_space_group_name_H-M 'R -3 m'
_symmetry_Int_Tables_number 166
_symmetry_space_group_name_Hall '-R 3 2"'
_cell_length_a 2.7607
_cell_length_b 2.7607
_cell_length_c 26.2725
_cell_angle_alpha 90.00
_cell_angle_beta 90.00
_cell_angle_gamma 120.00
loop_
_atom_site_label
_atom_site_type_symbol
_atom_site_fract_x
_atom_site_fract_y
_atom_site_fract_z
Cr1 Cr 0.0000 0.0000 0.1228
Rh1 Rh 0.0000 0.0000 0.3781
C1 C 0.0000 0.0000 0.5000
```

Principal peaks in the range 5 to 70 degrees two-theta, low angle first:
| Position (°2θ) | I_rel | (hkl) |
| --- | --- | --- |
| 10.10 | 26 | 0 0 3 |
| 30.63 | 7 | 0 0 9 |
| 37.78 | 9 | 1 0 1 |
| 40.14 | 100 | 1 0 4 |
| 41.23 | 30 | 0 0 12 |
| 41.50 | 5 | 0 1 5 |
| 44.95 | 4 | 1 0 7 |
| 47.01 | 69 | 0 1 8 |
| 51.69 | 2 | 1 0 10 |
| 59.93 | 3 | 1 0 13 |
| 67.90 | 22 | 1 1 0 |
| 69.44 | 19 | 1 0 16 |

---

Theoretical PXRD pattern
Compound: Cr3Ru3C2
Radiation: Cu Kα (λ = 1.5418 Å)
Structure: a DFT-relaxed cell (GGA-PBE, the Materials Project)

```
data_Cr3Ru3C2
_symmetry_space_group_name_H-M 'P -3 m 1'
_symmetry_Int_Tables_number 164
_symmetry_space_group_name_Hall '-P 3 2"'
_cell_length_a 2.7751
_cell_length_b 2.7751
_cell_length_c 13.2577
_cell_angle_alpha 90.00
_cell_angle_beta 90.00
_cell_angle_gamma 120.00
loop_
_atom_site_label
_atom_site_type_symbol
_atom_site_fract_x
_atom_site_fract_y
_atom_site_fract_z
Cr1 Cr 0.0000 0.0000 0.0000
Cr2 Cr 0.3333 0.6667 0.8257
Ru1 Ru 0.0000 0.0000 0.5000
Ru2 Ru 0.3333 0.6667 0.3342
C1 C 0.3333 0.6667 0.0943
```

Principal peaks in the range 5 to 70 degrees two-theta, low angle first:
| Position (°2θ) | I_rel | (hkl) |
| --- | --- | --- |
| 6.67 | 65 | 0 0 1 |
| 33.81 | 2 | 0 0 5 |
| 38.05 | 9 | 1 0 1 |
| 39.90 | 100 | 1 0 2 |
| 40.84 | 31 | 0 0 6 |
| 42.83 | 9 | 1 0 3 |
| 46.69 | 73 | 0 1 4 |
| 48.04 | 2 | 0 0 7 |
| 51.31 | 4 | 0 1 5 |
| 67.50 | 23 | 1 1 0 |
| 67.92 | 2 | 1 1 1 |
| 68.81 | 21 | 1 0 8 |